Simulated X-ray powder pattern of Cs2NaVO4 for Cu Kα (weighted mean of Kα1 and Kα2), from a GGA+U-relaxed structure.
Neutral-atom scattering factors, no anomalous dispersion.

Principal peaks in the range 2θ from 10° to 90°, in order of falling intensity:
two_theta	I/Imax	hkl
28.75	100	1 1 -2
28.44	64	0 2 0
23.17	58	1 1 1
32.31	48	2 1 0
31.90	41	0 0 3
39.10	35	1 2 2

Atomic structure:
```
data_Cs2NaVO4
_symmetry_space_group_name_H-M 'P 1'
_symmetry_Int_Tables_number 1
_cell_length_a 6.186
_cell_length_b 6.277
_cell_length_c 8.433
_cell_angle_alpha 90.00
_cell_angle_beta 93.21
_cell_angle_gamma 90.00
loop_
_symmetry_equiv_pos_as_xyz
'x,y,z'
loop_
_atom_site_label
_atom_site_fract_x
_atom_site_fract_y
_atom_site_fract_z
Cs1 0.148 0.250 0.181
Cs2 0.299 0.750 0.514
Cs3 0.701 0.250 0.486
Cs4 0.852 0.750 0.819
Na1 0.373 0.750 0.028
Na2 0.627 0.250 0.972
V1 0.202 0.250 0.758
V2 0.798 0.750 0.242
O1 0.065 0.750 0.182
O2 0.202 0.250 0.551
O3 0.340 0.025 0.835
O4 0.340 0.475 0.835
O5 0.660 0.525 0.165
O6 0.660 0.975 0.165
O7 0.798 0.750 0.449
O8 0.935 0.250 0.818
```